For Cs2TlMo2O7, a crystal structure in Alexandria, relaxed with PBE+U gives the theoretical powder diffraction line list in this record (Cu Ka).
Kinematic intensities with the Lorentz-polarization factor, no thermal factor.

Main lines, sorted by position (2θ from 10° to 90°):
2θ = 10.56°, d 8.378, I 52.1, hkl 0 0 3; 2θ = 20.52°, d 4.328, I 46.0, hkl 1 0 4; 2θ = 25.84°, d 3.447, I 100.0, hkl 1 1 0; 2θ = 27.99°, d 3.188, I 23.9, hkl 1 1 3; 2θ = 29.02°, d 3.077, I 59.9, hkl 1 0 7; 2θ = 33.22°, d 2.697, I 24.3, hkl 0 2 4; 2θ = 39.24°, d 2.296, I 31.7, hkl 0 2 7; 2θ = 47.59°, d 1.911, I 27.5, hkl 2 1 7

Atomic structure:
```
data_Cs2TlMo2O7
_cell_length_a 6.8949
_cell_length_b 6.8949
_cell_length_c 25.1337
_cell_angle_alpha 90.00
_cell_angle_beta 90.00
_cell_angle_gamma 120.00
_symmetry_space_group_name_H-M 'R 3 2'
_symmetry_Int_Tables_number 155
_symmetry_space_group_name_Hall 'R 3 2"'
loop_
_atom_site_label
_atom_site_fract_x
_atom_site_fract_y
_atom_site_fract_z
Cs1 0.0000 0.0000 0.2285
Tl1 0.0000 0.0000 0.5000
Mo1 0.0000 0.0000 0.0762
O1 0.0000 0.0000 0.0000
O2 0.0577 0.4740 0.7681
```


For CsTmMo2O8, a crystal structure in Alexandria, relaxed with PBE+U gives the theoretical powder diffraction line list in this record (Cu Ka).
Kinematic intensities with the Lorentz-polarization factor, no thermal factor.

Main lines, sorted by position (2θ from 10° to 90°):
2θ = 25.37°, d 3.511, I 98.6, hkl 1 2 0; 2θ = 28.23°, d 3.161, I 100.0, hkl 1 0 2; 2θ = 28.69°, d 3.112, I 56.8, hkl 0 2 2; 2θ = 35.45°, d 2.532, I 19.4, hkl 2 0 0; 2θ = 46.22°, d 1.964, I 44.0, hkl 2 2 2; 2θ = 47.11°, d 1.929, I 15.2, hkl 1 4 2; 2θ = 52.17°, d 1.753, I 33.8, hkl 1 2 4; 2θ = 64.54°, d 1.444, I 15.3, hkl 1 6 2

Atomic structure:
```
data_CsTmMo2O8
_cell_length_a 5.065
_cell_length_b 9.741
_cell_length_c 8.091
_cell_angle_alpha 90.00
_cell_angle_beta 90.00
_cell_angle_gamma 90.00
_symmetry_space_group_name_H-M 'P c c m'
_symmetry_Int_Tables_number 49
_symmetry_space_group_name_Hall '-P 2 2c'
loop_
_atom_site_label
_atom_site_fract_x
_atom_site_fract_y
_atom_site_fract_z
Cs1 0.000 0.000 0.250
Tm1 0.000 0.500 0.250
Mo1 0.475 0.310 0.000
O1 0.246 0.436 0.500
O2 0.257 0.320 0.177
O3 0.393 0.144 0.500
```